This entry pairs a crystal structure of BaLiAlF6 with its calculated PXRD pattern. Radiation: Cu Kα. Structure: the GGA-PBE geometry in Alexandria.
Kinematic intensities with the Lorentz-polarization factor, no thermal factor.

Unit cell a=5.389 b=10.444 c=8.646 alpha=90.00 beta=90.47 gamma=90.00
Sites, in units of the cell vectors:
1 Ba 0.204 0.182 0.491
2 Ba 0.204 0.318 0.991
3 Ba 0.796 0.682 0.009
4 Ba 0.796 0.818 0.509
5 Li 0.255 0.588 0.327
6 Li 0.255 0.912 0.827
7 Li 0.745 0.088 0.173
8 Li 0.745 0.412 0.673
9 Al 0.262 0.592 0.733
10 Al 0.262 0.908 0.233
11 Al 0.738 0.092 0.767
12 Al 0.738 0.408 0.267
13 F 0.029 0.010 0.709
14 F 0.029 0.490 0.209
15 F 0.104 0.749 0.764
16 F 0.104 0.751 0.264
17 F 0.165 0.605 0.534
18 F 0.165 0.895 0.034
19 F 0.328 0.592 0.944
20 F 0.328 0.908 0.444
21 F 0.399 0.068 0.209
22 F 0.399 0.432 0.709
23 F 0.442 0.167 0.798
24 F 0.442 0.333 0.298
25 F 0.558 0.667 0.702
26 F 0.558 0.833 0.202
27 F 0.601 0.568 0.291
28 F 0.601 0.932 0.791
29 F 0.672 0.092 0.556
30 F 0.672 0.408 0.056
31 F 0.835 0.105 0.966
32 F 0.835 0.395 0.466
33 F 0.896 0.249 0.736
34 F 0.896 0.251 0.236
35 F 0.971 0.510 0.791
36 F 0.971 0.990 0.291

The 10 most intense peaks (10° ≤ 2θ ≤ 90°), low angle first:
13.29°, I 48
18.53°, I 56
25.84°, I 48
25.95°, I 38
26.77°, I 33
27.66°, I 100
27.90°, I 51
39.29°, I 28
39.73°, I 50
40.64°, I 29


This entry pairs a crystal structure of CoSi2W with its calculated PXRD pattern. Radiation: Cu Kα. Structure: the GGA-PBE geometry in Alexandria.
Kinematic intensities with the Lorentz-polarization factor, no thermal factor.

Unit cell a=3.131 b=3.131 c=5.278 alpha=90.00 beta=90.00 gamma=90.00
Sites, in units of the cell vectors:
1 Co 0.000 0.000 0.000
2 Si 0.000 0.000 0.450
3 Si 0.500 0.500 0.184
4 W 0.500 0.500 0.682

The 10 most intense peaks (10° ≤ 2θ ≤ 90°), low angle first:
16.80°, I 63
28.51°, I 30
33.27°, I 90
40.76°, I 74
44.37°, I 23
44.92°, I 100
54.07°, I 17
59.01°, I 25
69.45°, I 22
77.12°, I 40


This entry pairs a crystal structure of ThPaIr2 with its calculated PXRD pattern. Radiation: Cu Kα. Structure: the GGA-PBE geometry in Alexandria.
Kinematic intensities with the Lorentz-polarization factor, no thermal factor.

Unit cell a=4.058 b=4.058 c=20.012 alpha=90.00 beta=90.00 gamma=120.00
Sites, in units of the cell vectors:
1 Th 0.000 0.000 0.000
2 Th 0.333 0.667 0.667
3 Th 0.667 0.333 0.333
4 Pa 0.000 0.000 0.500
5 Pa 0.333 0.667 0.167
6 Pa 0.667 0.333 0.833
7 Ir 0.000 0.000 0.245
8 Ir 0.000 0.000 0.755
9 Ir 0.333 0.667 0.422
10 Ir 0.333 0.667 0.912
11 Ir 0.667 0.333 0.088
12 Ir 0.667 0.333 0.578

The 10 most intense peaks (10° ≤ 2θ ≤ 90°), low angle first:
31.10°, I 100
44.46°, I 37
44.67°, I 38
55.07°, I 6
55.43°, I 20
64.85°, I 12
73.51°, I 17
73.82°, I 18
82.17°, I 13
82.32°, I 7